Theoretical XRD peak list
Compound: Mn6O7F5
Radiation: Cu Kα
Structure: a structure optimized by DFT (GGA+U)

Crystal structure
```
Mn6O7F5
1.0
4.559 0.000 0.000
0.000 5.676 0.000
-0.035 0.000 15.372
Mn O F
12 14 10
Cartesian
0.000 0.770 0.000
-0.017 4.906 7.686
0.006 0.858 10.148
0.023 4.818 2.462
2.152 1.927 7.424
2.135 3.749 15.110
2.234 1.982 2.255
2.216 3.694 9.940
2.269 1.966 12.536
2.286 3.710 4.850
4.515 0.845 5.078
4.498 4.831 12.764
1.002 0.579 8.494
1.019 5.097 0.809
1.206 2.195 0.632
1.188 3.481 8.318
1.284 2.171 5.748
1.266 3.504 13.433
1.281 2.199 10.864
1.298 3.476 3.178
3.507 0.627 6.709
3.490 5.048 14.395
3.546 0.674 1.575
3.529 5.002 9.261
3.566 0.675 11.833
3.584 5.001 4.147
1.088 0.684 13.729
1.106 4.991 6.043
1.141 0.664 3.478
1.123 5.012 11.164
3.312 2.132 9.018
3.330 3.544 1.332
3.391 2.114 14.284
3.414 2.167 3.881
3.396 3.509 11.567
3.408 3.562 6.598
```

Peak list (10 most intense, 10 to 80 degrees two-theta, in order of rising 2θ)
- 2θ 25.05, I = 58
- 2θ 30.61, I = 100
- 2θ 36.18, I = 24
- 2θ 41.42, I = 23
- 2θ 43.55, I = 18
- 2θ 52.36, I = 16
- 2θ 53.77, I = 13
- 2θ 54.66, I = 38
- 2θ 63.58, I = 16
- 2θ 64.56, I = 13

=====

Theoretical XRD peak list
Compound: Mn6O7F5
Radiation: Cu Kα
Structure: a structure optimized by DFT (GGA+U)

Crystal structure
```
Mn6O7F5
1.0
4.534 -3.256 0.000
4.534 3.256 0.000
-2.705 0.000 6.812
Mn O F
6 7 5
Cartesian
0.000 0.000 0.000
-1.265 0.000 3.366
0.549 0.000 5.630
2.383 0.000 2.158
4.236 0.000 4.582
5.779 0.000 1.226
2.299 1.970 2.263
1.956 0.000 0.155
4.227 1.994 4.529
4.264 0.000 2.577
2.299 -1.970 2.263
4.425 0.000 6.583
4.227 -1.994 4.529
0.335 0.000 2.004
1.807 1.204 6.803
2.148 0.000 4.356
1.807 -1.204 6.803
6.286 0.000 4.817
```

Peak list (10 most intense, 10 to 80 degrees two-theta, in order of rising 2θ)
- 2θ 26.91, I = 95
- 2θ 27.40, I = 100
- 2θ 34.73, I = 98
- 2θ 52.66, I = 30
- 2θ 52.84, I = 27
- 2θ 53.31, I = 58
- 2θ 56.54, I = 17
- 2θ 59.50, I = 16
- 2θ 67.53, I = 21
- 2θ 67.68, I = 19

=====

Theoretical XRD peak list
Compound: Mn6O7F5
Radiation: Cu Kα
Structure: a structure optimized by DFT (GGA+U)

Crystal structure
```
Mn6O7F5
1.0
3.423 -3.202 0.000
3.423 3.202 0.000
-0.069 0.000 9.227
Mn O F
6 7 5
Cartesian
0.000 0.000 0.000
3.346 3.021 2.998
3.431 3.021 6.229
3.202 -0.183 7.620
3.388 -0.190 4.614
3.575 -0.183 1.608
1.196 -0.138 7.731
3.282 1.057 6.157
3.495 1.057 3.071
3.423 -1.300 0.000
3.289 -1.436 6.146
3.488 -1.436 3.081
5.581 -0.138 1.497
1.245 -0.184 4.506
1.491 -0.136 1.510
3.423 1.173 0.000
5.286 -0.136 7.717
5.532 -0.184 4.721
```

Peak list (10 most intense, 10 to 80 degrees two-theta, in order of rising 2θ)
- 2θ 26.03, I = 100
- 2θ 27.86, I = 94
- 2θ 34.83, I = 55
- 2θ 35.00, I = 46
- 2θ 51.71, I = 31
- 2θ 52.08, I = 29
- 2θ 53.91, I = 28
- 2θ 54.03, I = 25
- 2θ 67.18, I = 20
- 2θ 67.52, I = 30

=====

Theoretical XRD peak list
Compound: Mn6O7F5
Radiation: Cu Kα
Structure: a structure optimized by DFT (GGA+U)

Crystal structure
```
Mn6O7F5
1.0
4.697 0.000 0.000
0.153 5.580 0.000
0.190 0.546 7.729
Mn O F
6 7 5
Cartesian
0.000 0.000 0.000
0.177 3.891 2.559
0.220 2.298 5.017
2.457 4.987 5.173
2.563 1.223 2.615
2.866 3.437 7.660
1.116 3.799 4.274
1.603 1.062 4.361
1.786 4.964 6.969
3.367 1.259 0.762
3.553 3.474 5.861
3.985 4.065 0.848
3.997 2.334 3.313
1.136 2.168 6.887
1.212 5.545 1.914
1.599 2.807 1.649
3.498 5.069 3.439
3.974 0.710 5.797
```

Peak list (10 most intense, 10 to 80 degrees two-theta, in order of rising 2θ)
- 2θ 26.42, I = 100
- 2θ 27.39, I = 95
- 2θ 34.82, I = 53
- 2θ 34.99, I = 45
- 2θ 52.15, I = 30
- 2θ 53.38, I = 41
- 2θ 54.40, I = 16
- 2θ 56.53, I = 17
- 2θ 60.19, I = 17
- 2θ 67.20, I = 20